No. 1
# Ac3Cd2Pd7
Simulated PXRD pattern, Cu Kα (λ = 1.5418 Å). Input: a crystal structure in Alexandria, relaxed with GGA-PBE.
Peak positions follow from Bragg's law for the DFT cell and can differ from measured ones.

Peak list (10 most intense, 2θ = 15–90°, by intensity)
2θ (°)	Rel. int.	h k l
37.09	100	1 1 6
31.13	50	1 1 0
36.26	38	0 2 1
29.24	36	1 0 7
39.90	35	0 0 12
31.97	33	0 1 8
64.92	27	2 2 0
59.37	25	3 0 6
60.59	24	2 0 14
40.89	15	0 1 11

Crystal structure
Cell: 5.7452 5.7452 27.0887 Å, 90.00 90.00 120.00°
Space group R-3m (No. 166, hexagonal axes)
Inequivalent atoms, fractional coordinates:
Ac 0.0000 0.0000 0.0000 [3 per cell]
Ac 0.0000 0.0000 0.1386 [6 per cell]
Cd 0.0000 0.0000 0.3332 [6 per cell]
Pd 0.0000 0.0000 0.5000 [3 per cell]
Pd 0.0014 0.5007 0.9159 [18 per cell]

No. 2
# NdTm2Ag3
Simulated PXRD pattern, Cu Kα (λ = 1.5418 Å). Input: a crystal structure in Alexandria, relaxed with GGA-PBE.
Peak positions follow from Bragg's law for the DFT cell and can differ from measured ones.

Peak list (10 most intense, 2θ = 15–90°, by intensity)
2θ (°)	Rel. int.	h k l
34.70	100	1 0 3
35.19	50	1 1 0
62.83	35	2 1 3
50.62	18	2 0 0
61.87	16	1 1 6
73.22	10	2 0 6
49.14	8	0 0 6
85.05	8	3 1 0
84.77	8	3 0 3
82.49	6	1 0 9

Crystal structure
Cell: 3.607 3.607 11.125 Å, 90.00 90.00 90.00°
Space group P4/mmm (No. 123)
Inequivalent atoms, fractional coordinates:
Nd 0.000 0.000 0.000 [1 per cell]
Tm 0.000 0.000 0.339 [2 per cell]
Ag 0.500 0.500 0.185 [2 per cell]
Ag 0.500 0.500 0.500 [1 per cell]

No. 3
# YCdSb2
Simulated PXRD pattern, Cu Kα (λ = 1.5418 Å). Input: a crystal structure in Alexandria, relaxed with GGA-PBE.
Peak positions follow from Bragg's law for the DFT cell and can differ from measured ones.

Peak list (10 most intense, 2θ = 15–90°, by intensity)
2θ (°)	Rel. int.	h k l
33.28	100	1 1 2
41.21	27	2 0 0
32.92	26	0 0 4
53.72	25	2 0 4
70.09	22	3 1 2
59.01	19	1 1 6
88.89	12	3 1 6
69.88	11	2 2 4
59.70	9	2 2 0
83.68	7	2 0 8

Crystal structure
Cell: 4.381 4.381 10.884 Å, 90.00 90.00 90.00°
Space group I-4m2 (No. 119)
Inequivalent atoms, fractional coordinates:
Y 0.000 0.000 0.000 [2 per cell]
Cd 0.000 0.500 0.750 [2 per cell]
Sb 0.000 0.000 0.500 [2 per cell]
Sb 0.000 0.500 0.250 [2 per cell]

No. 4
# HoTmNiAu
Simulated PXRD pattern, Cu Kα (λ = 1.5418 Å). Input: a crystal structure in Alexandria, relaxed with GGA-PBE.
Peak positions follow from Bragg's law for the DFT cell and can differ from measured ones.

Peak list (10 most intense, 2θ = 15–90°, by intensity)
2θ (°)	Rel. int.	h k l
32.54	100	1 1 1
40.90	59	1 1 3
40.36	31	2 0 0
35.37	28	0 1 3
34.33	26	0 0 4
39.98	24	1 0 4
49.18	17	0 2 0
54.73	16	2 1 3
81.85	15	2 1 7
65.44	15	2 2 0

Crystal structure
Cell: 4.469 3.705 10.447 Å, 90.00 90.00 90.00°
Space group Amm2 (No. 38)
Inequivalent atoms, fractional coordinates:
Ho 0.000 0.000 0.000 [2 per cell]
Tm 0.500 0.000 0.720 [2 per cell]
Ni 0.500 0.000 0.444 [2 per cell]
Au 0.000 0.000 0.281 [2 per cell]

No. 5
# LaPr2NdTl4
Simulated PXRD pattern, Cu Kα (λ = 1.5418 Å). Input: a crystal structure in Alexandria, relaxed with GGA-PBE.
Peak positions follow from Bragg's law for the DFT cell and can differ from measured ones.

Peak list (10 most intense, 2θ = 15–90°, by intensity)
2θ (°)	Rel. int.	h k l
32.12	100	1 1 0
57.27	39	3 0 0
46.07	19	2 0 8
76.44	17	3 1 8
67.19	12	2 2 0
85.33	4	0 4 8
22.56	3	1 0 4
51.88	2	2 1 4
39.61	1	0 2 4
71.88	1	1 3 4

Crystal structure
Cell: 5.5711 5.5711 27.3173 Å, 90.00 90.00 120.00°
Space group R-3m (No. 166, hexagonal axes)
Inequivalent atoms, fractional coordinates:
La 0.0000 0.0000 0.0000 [3 per cell]
Pr 0.0000 0.0000 0.2498 [6 per cell]
Nd 0.0000 0.0000 0.5000 [3 per cell]
Tl 0.0000 0.0000 0.1258 [6 per cell]
Tl 0.0000 0.0000 0.3757 [6 per cell]